(1)
# HoNp2F11
Calculated PXRD pattern, Cu Kα, 1.54184 Å. Input: a cell relaxed with GGA-PBE.

Largest 10 diffraction maxima, by intensity, 2θ = 10–90°:
2θ/deg	intensity	hkl
24.24	100	2 1 1
21.17	91	1 1 2
23.71	82	0 2 2
21.80	74	1 2 1
44.87	53	3 3 2
16.16	47	0 0 2
44.36	32	1 4 3
43.60	32	1 3 4
28.08	29	1 3 0
33.61	28	2 1 3

Structural model:
Cell lengths 8.421, 10.296, 10.968 Å; angles 90.00, 90.00, 90.00 degrees
Space group Ibam (No. 72)
Unique sites:
Ho1 0.000 0.000 0.250 [4 per cell]
Np1 0.153 0.318 0.000 [8 per cell]
F1 0.000 0.500 0.000 [4 per cell]
F2 0.090 0.175 0.142 [16 per cell]
F3 0.127 0.287 0.500 [8 per cell]
F4 0.214 0.069 0.362 [16 per cell]

(2)
# Ho2NpF11
Calculated PXRD pattern, Cu Kα, 1.54184 Å. Input: a cell relaxed with GGA-PBE.

Largest 10 diffraction maxima, by intensity, 2θ = 10–90°:
2θ/deg	intensity	hkl
21.34	100	1 1 2
23.63	63	0 2 2
25.14	42	2 1 1
43.52	41	1 3 4
22.06	31	1 2 1
46.06	31	3 3 2
14.00	28	1 1 0
48.20	27	4 0 2
28.31	27	1 3 0
48.57	19	1 5 2

Structural model:
Cell lengths 8.028, 10.283, 11.057 Å; angles 90.00, 90.00, 90.00 degrees
Space group Ibam (No. 72)
Unique sites:
Ho1 0.134 0.182 0.000 [8 per cell]
Np1 0.000 0.500 0.250 [4 per cell]
F1 0.000 0.000 0.000 [4 per cell]
F2 0.097 0.327 0.151 [16 per cell]
F3 0.128 0.226 0.500 [8 per cell]
F4 0.208 0.436 0.362 [16 per cell]

(3)
# Rb2HoZnF6
Calculated PXRD pattern, Cu Kα, 1.54184 Å. Input: a cell relaxed with GGA-PBE.

Largest 10 diffraction maxima, by intensity, 2θ = 10–90°:
2θ/deg	intensity	hkl
27.62	100	2 0 0
48.83	42	3 2 1
39.45	39	2 0 2
57.02	24	4 0 0
78.31	22	5 2 1
64.51	19	4 0 2
16.81	16	1 1 0
19.43	9	1 0 1
71.55	8	4 4 0
32.50	7	0 3 1

Structural model:
Cell lengths 6.463, 9.137, 6.457 Å; angles 90.00, 90.00, 90.00 degrees
Space group Pmmn (No. 59, origin choice 2)
Unique sites:
Rb1 0.250 0.000 0.250 [4 per cell]
Ho1 0.250 0.250 0.749 [2 per cell]
Zn1 0.250 0.750 0.749 [2 per cell]
F1 0.012 0.250 0.511 [4 per cell]
F2 0.013 0.250 0.987 [4 per cell]
F3 0.250 0.012 0.748 [4 per cell]

(4)
# Ho2S2F
Calculated PXRD pattern, Cu Kα, 1.54184 Å. Input: a cell relaxed with GGA-PBE.

Largest 10 diffraction maxima, by intensity, 2θ = 10–90°:
2θ/deg	intensity	hkl
37.01	100	1 1 -3
26.24	87	1 1 0
41.90	68	3 1 1
33.54	67	3 1 -1
25.84	65	2 0 -3
24.72	60	2 0 1
37.30	56	3 1 -3
29.43	49	4 0 -2
33.83	43	2 0 2
50.67	37	0 2 0

Structural model:
Cell lengths 12.154, 3.603, 10.348 Å; angles 90.00, 123.30, 90.00 degrees
Space group C2/m (No. 12)
Unique sites:
Ho1 0.014 0.000 0.356 [4 per cell]
Ho2 0.158 0.000 0.086 [4 per cell]
S1 0.025 0.500 0.161 [4 per cell]
S2 0.153 0.500 0.603 [4 per cell]
F1 0.201 0.000 0.884 [4 per cell]

(5)
# HoS6F2
Calculated PXRD pattern, Cu Kα, 1.54184 Å. Input: a cell relaxed with GGA-PBE.

Largest 10 diffraction maxima, by intensity, 2θ = 10–90°:
2θ/deg	intensity	hkl
12.04	100	0 1 0
19.79	68	0 1 -1
11.33	36	0 0 1
25.73	31	1 0 0
30.52	29	1 -1 1
20.72	29	0 1 2
12.54	26	0 1 1
32.61	25	0 2 3
31.18	25	0 1 3
21.91	24	0 2 1

Structural model:
Cell lengths 3.520, 8.129, 8.766 Å; angles 64.88, 79.94, 87.99 degrees
Space group P-1 (No. 2)
Unique sites:
Ho1 0.000 0.000 0.000 [1 per cell]
S1 0.069 0.713 0.761 [2 per cell]
S2 0.157 0.983 0.682 [2 per cell]
S3 0.174 0.640 0.574 [2 per cell]
F1 0.481 0.822 0.079 [2 per cell]

(6)
# Ho2SnF8
Calculated PXRD pattern, Cu Kα, 1.54184 Å. Input: a cell relaxed with GGA-PBE.

Largest 10 diffraction maxima, by intensity, 2θ = 10–90°:
2θ/deg	intensity	hkl
29.19	100	1 3 0
26.21	84	2 0 0
27.50	75	0 2 1
24.24	64	1 1 -1
48.13	47	3 3 0
28.56	40	1 1 1
21.24	39	0 0 1
42.29	30	3 1 -1
43.27	29	0 0 2
46.17	28	2 0 -2

Structural model:
Cell lengths 6.942, 10.278, 4.269 Å; angles 90.00, 101.56, 90.00 degrees
Space group C2/m (No. 12)
Unique sites:
Ho1 0.000 0.179 0.000 [4 per cell]
Sn1 0.000 0.500 0.500 [2 per cell]
F1 0.000 0.252 0.500 [4 per cell]
F2 0.120 0.000 0.287 [4 per cell]
F3 0.191 0.362 0.077 [8 per cell]

(7)
# HoTl2SnF6
Calculated PXRD pattern, Cu Kα, 1.54184 Å. Input: a cell relaxed with GGA-PBE.

Largest 10 diffraction maxima, by intensity, 2θ = 10–90°:
2θ/deg	intensity	hkl
26.35	100	1 0 2
27.58	84	1 2 1
36.04	59	1 0 3
23.03	55	0 2 1
30.18	43	2 0 0
10.74	40	0 0 1
51.37	33	3 0 2
38.31	26	2 2 1
52.02	21	3 2 1
18.09	20	1 1 0

Structural model:
Cell lengths 5.922, 8.742, 8.239 Å; angles 90.00, 90.00, 90.00 degrees
Space group Pmmn (No. 59, origin choice 2)
Unique sites:
Ho1 0.250 0.250 0.162 [2 per cell]
Tl1 0.250 0.050 0.592 [4 per cell]
Sn1 0.250 0.750 0.223 [2 per cell]
F1 0.012 0.750 0.028 [4 per cell]
F2 0.013 0.250 0.361 [4 per cell]
F3 0.250 0.002 0.167 [4 per cell]

(8)
# TbHo2F
Calculated PXRD pattern, Cu Kα, 1.54184 Å. Input: a cell relaxed with GGA-PBE.

Largest 10 diffraction maxima, by intensity, 2θ = 10–90°:
2θ/deg	intensity	hkl
28.78	100	1 0 1
38.92	73	0 1 8
29.15	44	0 0 9
50.65	37	1 1 0
59.50	36	1 1 9
36.73	30	1 0 7
29.33	29	0 1 2
43.80	23	1 0 10
65.66	16	2 0 8
64.77	15	0 1 17

Structural model:
Cell lengths 3.6048, 3.6048, 27.5754 Å; angles 90.00, 90.00, 120.00 degrees
Space group R-3m (No. 166, hexagonal axes)
Unique sites:
Tb1 0.0000 0.0000 0.0000 [3 per cell]
Ho1 0.0000 0.0000 0.1179 [6 per cell]
F1 0.0000 0.0000 0.5000 [3 per cell]

> Number 7 is which compound?

HoTl2SnF6